No. 1
For Ba3Sb2S7, a DFT-relaxed cell (PBE, the Materials Project) gives the simulated XRD peak list in this record (CuKα).
Peak positions follow from Bragg's law for the DFT cell and can differ from measured ones.

Largest 10 diffraction maxima, by angle, 2θ = 5–70°:
- 20.05 deg, rel. 29
- 20.33 deg, rel. 38
- 24.66 deg, rel. 76
- 24.93 deg, rel. 100
- 26.59 deg, rel. 98
- 28.71 deg, rel. 84
- 30.69 deg, rel. 40
- 33.98 deg, rel. 34
- 35.43 deg, rel. 38
- 39.53 deg, rel. 81

Structure:
```
Ba3Sb2S7
1.0
9.310 -6.219 0.000
9.310 6.219 0.000
-4.624 0.000 12.587
Ba Sb S
12 8 28
Direct
0.094 0.102 0.173 Ba
0.102 0.094 0.673 Ba
0.124 0.614 0.557 Ba
0.386 0.876 0.943 Ba
0.392 0.395 0.823 Ba
0.395 0.392 0.323 Ba
0.605 0.608 0.677 Ba
0.608 0.605 0.177 Ba
0.614 0.124 0.057 Ba
0.876 0.386 0.443 Ba
0.898 0.906 0.327 Ba
0.906 0.898 0.827 Ba
0.195 0.639 0.091 Sb
0.202 0.257 0.989 Sb
0.257 0.202 0.489 Sb
0.361 0.805 0.409 Sb
0.639 0.195 0.591 Sb
0.743 0.798 0.511 Sb
0.798 0.743 0.011 Sb
0.805 0.361 0.909 Sb
0.078 0.094 0.915 S
0.094 0.078 0.415 S
0.111 0.607 0.887 S
0.145 0.346 0.634 S
0.145 0.350 0.363 S
0.199 0.696 0.372 S
0.200 0.692 0.820 S
0.304 0.801 0.128 S
0.308 0.800 0.680 S
0.346 0.145 0.134 S
0.350 0.145 0.863 S
0.393 0.889 0.613 S
0.400 0.443 0.088 S
0.443 0.400 0.588 S
0.557 0.600 0.412 S
0.600 0.557 0.912 S
0.607 0.111 0.387 S
0.650 0.855 0.137 S
0.654 0.855 0.866 S
0.692 0.200 0.320 S
0.696 0.199 0.872 S
0.800 0.308 0.180 S
0.801 0.304 0.628 S
0.855 0.650 0.637 S
0.855 0.654 0.366 S
0.889 0.393 0.113 S
0.906 0.922 0.585 S
0.922 0.906 0.085 S
```

***

No. 2
For K3MgNbO8, a DFT-relaxed cell (PBE, the Materials Project) gives the simulated XRD peak list in this record (CuKα).
Peak positions follow from Bragg's law for the DFT cell and can differ from measured ones.

Largest 10 diffraction maxima, by angle, 2θ = 5–70°:
- 15.27 deg, rel. 95
- 17.31 deg, rel. 100
- 25.29 deg, rel. 39
- 25.53 deg, rel. 38
- 26.96 deg, rel. 78
- 29.07 deg, rel. 35
- 30.17 deg, rel. 43
- 35.06 deg, rel. 42
- 41.74 deg, rel. 33
- 43.76 deg, rel. 32

Structure:
```
K3MgNbO8
1.0
4.398 -5.119 0.000
4.398 5.119 0.000
-3.567 0.000 4.769
K Mg Nb O
3 1 1 8
Direct
0.000 0.000 0.000 K
0.313 0.902 0.563 K
0.902 0.313 0.563 K
0.463 0.463 0.420 Mg
0.528 0.528 0.984 Nb
0.232 0.498 0.093 O
0.307 0.307 0.576 O
0.308 0.702 0.058 O
0.498 0.232 0.093 O
0.660 0.660 0.820 O
0.702 0.308 0.058 O
0.723 0.723 0.465 O
0.810 0.810 0.318 O
```

***

No. 3
For LaGa3Pd, a DFT-relaxed cell (PBE, the Materials Project) gives the simulated XRD peak list in this record (CuKα).
Peak positions follow from Bragg's law for the DFT cell and can differ from measured ones.

Largest 10 diffraction maxima, by angle, 2θ = 5–70°:
- 32.51 deg, rel. 53
- 33.53 deg, rel. 7
- 33.68 deg, rel. 100
- 41.62 deg, rel. 55
- 44.98 deg, rel. 15
- 47.41 deg, rel. 24
- 53.79 deg, rel. 25
- 60.05 deg, rel. 14
- 60.33 deg, rel. 18
- 64.89 deg, rel. 18

Structure:
```
LaGa3Pd
1.0
4.340 0.000 0.000
0.000 4.340 0.000
0.000 0.000 10.689
La Ga Pd
2 6 2
Direct
0.000 0.000 0.000 La
0.500 0.500 0.500 La
0.000 0.000 0.381 Ga
0.000 0.000 0.619 Ga
0.000 0.500 0.250 Ga
0.500 0.000 0.750 Ga
0.500 0.500 0.119 Ga
0.500 0.500 0.881 Ga
0.000 0.500 0.750 Pd
0.500 0.000 0.250 Pd
```

***

No. 4
For Ni2S, a DFT-relaxed cell (PBE, the Materials Project) gives the simulated XRD peak list in this record (CuKα).
Peak positions follow from Bragg's law for the DFT cell and can differ from measured ones.

Largest 8 diffraction maxima, by angle, 2θ = 5–70°:
- 33.04 deg, rel. 18
- 42.99 deg, rel. 6
- 44.76 deg, rel. 55
- 45.25 deg, rel. 100
- 63.79 deg, rel. 7
- 64.18 deg, rel. 1
- 65.15 deg, rel. 17
- 66.68 deg, rel. 6

Structure:
```
Ni2S
1.0
2.864 0.000 0.000
0.000 2.864 0.000
0.000 0.000 8.416
Ni S
4 2
Direct
0.000 0.000 0.151 Ni
0.000 0.000 0.849 Ni
0.500 0.500 0.349 Ni
0.500 0.500 0.651 Ni
0.000 0.000 0.500 S
0.500 0.500 0.000 S
```

***

Which formula does entry 2 have?
K3MgNbO8